Record 1
Structure and calculated powder diffraction line list of PaTe3Rh (a structure optimized by DFT (GGA-PBE); copper Kα).
Peak positions follow from Bragg's law for the DFT cell and can differ from measured ones.

The 10 most intense peaks (5 to 70 degrees two-theta), in order of falling intensity:
2theta	I_rel	index
31.93	100	1 2 2
12.93	99	0 1 1
36.03	76	1 5 1
40.48	67	1 1 3
36.85	61	2 0 0
27.62	57	1 3 1
32.79	36	0 4 2
39.10	34	1 6 0
43.77	32	1 3 3
20.61	32	0 3 1

a b c (Å): 4.8786 15.6816 7.6132
angles (deg): 90.00 90.00 90.00
Space group Ama2 (No. 40)
Inequivalent atoms, fractional coordinates:
Pa 0.2500 0.1339 0.0000 x4
Te 0.2500 0.0813 0.3726 x4
Te 0.2500 0.2660 0.6689 x4
Te 0.2500 0.4235 0.3024 x4
Rh 0.2500 0.4467 0.6711 x4

Record 2
Structure and calculated powder diffraction line list of K2HgS4 (a structure optimized by DFT (GGA-PBE); copper Kα).
Peak positions follow from Bragg's law for the DFT cell and can differ from measured ones.

The 10 most intense peaks (5 to 70 degrees two-theta), in order of falling intensity:
2theta	I_rel	index
15.41	100	1 1 -1
18.31	87	1 1 1
30.52	85	2 2 0
24.62	71	1 1 -3
30.10	67	1 1 3
15.16	62	0 0 2
35.31	58	3 1 -3
21.55	54	0 2 0
43.47	41	4 0 0
37.73	34	0 2 4

a b c (Å): 8.7341 8.2485 12.2555
angles (deg): 90.00 107.48 90.00
Space group C2/c (No. 15)
Inequivalent atoms, fractional coordinates:
K 0.0185 0.2421 0.4499 x8
Hg 0.0000 0.2735 0.7500 x4
S 0.2132 0.0490 0.8929 x8
S 0.2405 0.1527 0.2967 x8